Simulated XRD peak list of Tb3Pm7 for λ = 1.5418 Å (Cu Kα), from a PBE-relaxed structure.
Kinematic intensities with the Lorentz-polarization factor, no thermal factor.

abc: 11.195 11.195 6.252
angles: 90.00 90.00 120.00
Sites, in units of the cell vectors:
Tb1 0.217 0.435 0.000
Tb2 0.217 0.783 0.000
Tb3 0.435 0.217 0.500
Tb4 0.565 0.783 0.000
Tb5 0.783 0.217 0.500
Tb6 0.783 0.565 0.500
Pm1 0.056 0.528 0.382
Pm2 0.117 0.233 0.513
Pm3 0.117 0.883 0.513
Pm4 0.233 0.117 0.013
Pm5 0.333 0.667 0.595
Pm6 0.472 0.528 0.382
Pm7 0.472 0.944 0.382
Pm8 0.528 0.056 0.882
Pm9 0.528 0.472 0.882
Pm10 0.667 0.333 0.095
Pm11 0.767 0.883 0.513
Pm12 0.883 0.117 0.013
Pm13 0.883 0.767 0.013
Pm14 0.944 0.472 0.882

Peak list (6 most intense, 2θ = 10–80°, low angle first)
2θ/deg, Rel. int.
27.60, 16
28.23, 24
28.56, 22
31.16, 100
34.13, 24
48.81, 20